1.
Theoretical X-ray diffraction stick pattern of Er6Sn2SbTe3 for copper Kα, from a cell relaxed with GGA-PBE.

Largest 10 diffraction maxima, sorted by position, 5° ≤ 2θ ≤ 70°:
2theta  intensity
25.02  4
28.97  100
37.94  1
41.43  76
49.01  2
51.35  27
53.06  1
57.42  1
60.04  13
68.02  34

Structural model:
```
data_Er6Sn2SbTe3
_space_group_name_H-M_alt 'C 1 2/m 1'
_space_group_IT_number 12
_space_group_name_Hall '-C 2y'
_cell_length_a 18.9836
_cell_length_b 4.3593
_cell_length_c 8.7206
_cell_angle_alpha 90.00
_cell_angle_beta 103.22
_cell_angle_gamma 90.00
loop_
_atom_site_label
_atom_site_fract_x
_atom_site_fract_y
_atom_site_fract_z
Er1 0.0047 0.0000 0.2453
Er2 0.1649 0.5000 0.0936
Er3 0.1697 0.5000 0.5749
Sn1 0.1669 0.0000 0.3331
Sb1 0.0000 0.5000 0.0000
Te1 0.0000 0.5000 0.5000
Te2 0.1651 0.0000 0.8337
```

***

2.
Theoretical X-ray diffraction stick pattern of TbEr5Sb4 for copper Kα, from a cell relaxed with GGA-PBE.

Largest 10 diffraction maxima, sorted by position, 5° ≤ 2θ ≤ 70°:
2theta  intensity
25.66  17
29.90  100
30.14  45
42.09  38
42.21  20
43.39  18
43.84  31
52.73  19
62.13  12
69.65  16

Structural model:
```
data_TbEr5Sb4
_space_group_name_H-M_alt 'C 1 2/m 1'
_space_group_IT_number 12
_space_group_name_Hall '-C 2y'
_cell_length_a 18.5195
_cell_length_b 4.2821
_cell_length_c 8.3550
_cell_angle_alpha 90.00
_cell_angle_beta 106.12
_cell_angle_gamma 90.00
loop_
_atom_site_label
_atom_site_fract_x
_atom_site_fract_y
_atom_site_fract_z
Tb1 0.0000 0.0000 0.0000
Er1 0.0000 0.0000 0.5000
Er2 0.1618 0.5000 0.8193
Er3 0.1799 0.5000 0.3502
Sb1 0.0097 0.5000 0.2615
Sb2 0.1706 0.0000 0.0857
```

***

3.
Theoretical X-ray diffraction stick pattern of Tb2Er2Sb3 for copper Kα, from a cell relaxed with GGA-PBE.

Largest 10 diffraction maxima, sorted by position, 5° ≤ 2θ ≤ 70°:
2theta  intensity
23.76  5
30.82  100
36.65  69
44.15  9
46.43  8
48.62  19
50.75  24
62.40  25
64.21  12
66.00  15

Structural model:
```
data_Tb2Er2Sb3
_space_group_name_H-M_alt 'I 21 3'
_space_group_IT_number 199
_space_group_name_Hall 'I 2b 2c 3'
_cell_length_a 9.1736
_cell_length_b 9.1736
_cell_length_c 9.1736
_cell_angle_alpha 90.00
_cell_angle_beta 90.00
_cell_angle_gamma 90.00
loop_
_atom_site_label
_atom_site_fract_x
_atom_site_fract_y
_atom_site_fract_z
Tb1 0.1766 0.1766 0.1766
Er1 0.0718 0.4282 0.5718
Sb1 0.0000 0.2500 0.8727
```

***

4.
Theoretical X-ray diffraction stick pattern of Tb5Er5Sb6 for copper Kα, from a cell relaxed with GGA-PBE.

Largest 10 diffraction maxima, sorted by position, 5° ≤ 2θ ≤ 70°:
2theta  intensity
28.39  17
30.45  33
30.68  20
33.70  100
34.65  50
34.85  81
49.97  22
53.74  26
55.67  10
58.74  10

Structural model:
```
data_Tb5Er5Sb6
_space_group_name_H-M_alt 'A m m 2'
_space_group_IT_number 38
_space_group_name_Hall 'A 2 -2'
_cell_length_a 6.2873
_cell_length_b 15.5592
_cell_length_c 8.9530
_cell_angle_alpha 90.00
_cell_angle_beta 90.00
_cell_angle_gamma 90.00
loop_
_atom_site_label
_atom_site_fract_x
_atom_site_fract_y
_atom_site_fract_z
Tb1 0.0000 0.0000 0.0000
Tb2 0.2500 0.1662 0.7459
Er1 0.0000 0.1235 0.3687
Er2 0.5000 0.0000 0.4903
Er3 0.5000 0.1237 0.1223
Sb1 0.0000 0.0000 0.6317
Sb2 0.0000 0.1947 0.0524
Sb3 0.5000 0.0000 0.8584
Sb4 0.5000 0.1937 0.4393
```

***

5.
Theoretical X-ray diffraction stick pattern of Er4TcSb for copper Kα, from a cell relaxed with GGA-PBE.

Largest 10 diffraction maxima, sorted by position, 5° ≤ 2θ ≤ 70°:
2theta  intensity
30.59  100
30.79  56
31.92  29
32.99  29
34.09  77
34.24  27
35.60  27
39.17  29
39.35  19
42.43  44

Structural model:
```
data_Er4TcSb
_space_group_name_H-M_alt 'P n m a'
_space_group_IT_number 62
_space_group_name_Hall '-P 2ac 2n'
_cell_length_a 7.9360
_cell_length_b 4.2606
_cell_length_c 18.6200
_cell_angle_alpha 90.00
_cell_angle_beta 90.00
_cell_angle_gamma 90.00
loop_
_atom_site_label
_atom_site_fract_x
_atom_site_fract_y
_atom_site_fract_z
Er1 0.0005 0.2500 0.0646
Er2 0.0621 0.7500 0.2100
Er3 0.1185 0.7500 0.6416
Er4 0.1474 0.7500 0.4526
Tc1 0.2456 0.7500 0.0613
Sb1 0.2427 0.7500 0.8064
```

***

6.
Theoretical X-ray diffraction stick pattern of ErSb2Te4 for copper Kα, from a cell relaxed with GGA-PBE.

Largest 10 diffraction maxima, sorted by position, 5° ≤ 2θ ≤ 70°:
2theta  intensity
21.67  38
27.13  78
27.70  29
28.38  92
30.35  100
38.27  52
38.51  46
39.78  53
43.72  50
60.59  30

Structural model:
```
data_ErSb2Te4
_space_group_name_H-M_alt 'C m c m'
_space_group_IT_number 63
_space_group_name_Hall '-C 2c 2'
_cell_length_a 4.1399
_cell_length_b 15.3805
_cell_length_c 14.5403
_cell_angle_alpha 90.00
_cell_angle_beta 90.00
_cell_angle_gamma 90.00
loop_
_atom_site_label
_atom_site_fract_x
_atom_site_fract_y
_atom_site_fract_z
Er1 0.0000 0.1123 0.2500
Sb1 0.0000 0.3667 0.0680
Te1 0.0000 0.0000 0.0000
Te2 0.0000 0.2907 0.6226
Te3 0.0000 0.4692 0.2500
```

***

7.
Theoretical X-ray diffraction stick pattern of ErSbTe3 for copper Kα, from a cell relaxed with GGA-PBE.

Largest 10 diffraction maxima, sorted by position, 5° ≤ 2θ ≤ 70°:
2theta  intensity
15.74  36
21.62  22
26.39  100
31.78  22
34.74  96
40.42  64
45.68  32
54.33  25
68.49  19
69.85  21

Structural model:
```
data_ErSbTe3
_space_group_name_H-M_alt 'R -3'
_space_group_IT_number 148
_space_group_name_Hall '-R 3'
_cell_length_a 7.7309
_cell_length_b 7.7309
_cell_length_c 20.8231
_cell_angle_alpha 90.00
_cell_angle_beta 90.00
_cell_angle_gamma 120.00
loop_
_atom_site_label
_atom_site_fract_x
_atom_site_fract_y
_atom_site_fract_z
Er1 0.0000 0.0000 0.1529
Sb1 0.0000 0.0000 0.3397
Te1 0.0038 0.3089 0.2475
```

***

8.
Theoretical X-ray diffraction stick pattern of Er5Th3Sb8 for copper Kα, from a cell relaxed with GGA-PBE.

Largest 10 diffraction maxima, sorted by position, 5° ≤ 2θ ≤ 70°:
2theta  intensity
24.71  9
28.61  100
40.84  39
40.96  38
48.34  4
50.62  21
50.83  7
59.22  13
66.98  18
67.16  17

Structural model:
```
data_Er5Th3Sb8
_space_group_name_H-M_alt 'R -3 m'
_space_group_IT_number 166
_space_group_name_Hall '-R 3 2"'
_cell_length_a 8.8385
_cell_length_b 8.8385
_cell_length_c 21.5560
_cell_angle_alpha 90.00
_cell_angle_beta 90.00
_cell_angle_gamma 120.00
loop_
_atom_site_label
_atom_site_fract_x
_atom_site_fract_y
_atom_site_fract_z
Er1 0.0000 0.0000 0.0000
Er2 0.0000 0.0000 0.5000
Er3 0.0000 0.5000 0.0000
Th1 0.0000 0.5000 0.5000
Sb1 0.0000 0.0000 0.2540
Sb2 0.0050 0.5025 0.2525
```